This entry pairs a crystal structure of RuBr2Cl8 with its theoretical powder diffraction line list. Radiation: Cu Kα (λ = 1.5418 Å). Structure: the PBE geometry in Alexandria.
Peak positions follow from Bragg's law for the DFT cell and can differ from measured ones.

The 12 most intense peaks (2θ = 5–70°), in order of rising 2θ:
2θ 13.8, d = 6.416 Å, I = 100; 2θ 19.0, d = 4.682 Å, I = 15; 2θ 20.2, d = 4.389 Å, I = 37; 2θ 21.6, d = 4.107 Å, I = 13; 2θ 22.7, d = 3.914 Å, I = 19; 2θ 25.8, d = 3.447 Å, I = 32; 2θ 27.8, d = 3.213 Å, I = 12; 2θ 29.8, d = 2.995 Å, I = 19; 2θ 31.9, d = 2.809 Å, I = 10; 2θ 33.9, d = 2.642 Å, I = 12; 2θ 35.4, d = 2.537 Å, I = 10; 2θ 38.2, d = 2.358 Å, I = 13

Cell lengths 6.4253, 6.6303, 9.0333 Å; angles 103.67, 91.38, 93.49 degrees
Sites, in units of the cell vectors:
Ru  0.0000  0.0000  0.0000
Br  0.0963  0.7986  0.3818
Br  0.9037  0.2014  0.6182
Cl  0.1725  0.1469  0.8158
Cl  0.1875  0.2377  0.1898
Cl  0.2576  0.7740  0.9911
Cl  0.3307  0.7318  0.5459
Cl  0.6693  0.2682  0.4541
Cl  0.7424  0.2260  0.0089
Cl  0.8125  0.7623  0.8102
Cl  0.8275  0.8531  0.1842



This entry pairs a crystal structure of Tb4Te2AuSe with its theoretical powder diffraction line list. Radiation: Cu Kα (λ = 1.5418 Å). Structure: the PBE geometry in Alexandria.
Peak positions follow from Bragg's law for the DFT cell and can differ from measured ones.

The 12 most intense peaks (2θ = 5–70°), in order of rising 2θ:
2θ 12.4, d = 7.110 Å, I = 9; 2θ 29.4, d = 3.040 Å, I = 52; 2θ 29.6, d = 3.017 Å, I = 100; 2θ 41.2, d = 2.191 Å, I = 19; 2θ 42.2, d = 2.141 Å, I = 75; 2θ 43.5, d = 2.080 Å, I = 18; 2θ 51.3, d = 1.780 Å, I = 9; 2θ 51.5, d = 1.776 Å, I = 11; 2θ 53.4, d = 1.717 Å, I = 19; 2θ 61.5, d = 1.509 Å, I = 12; 2θ 69.3, d = 1.357 Å, I = 9; 2θ 69.6, d = 1.350 Å, I = 9

Cell lengths 7.4863, 4.1597, 7.5036 Å; angles 90.00, 108.43, 90.00 degrees
Sites, in units of the cell vectors:
Tb  0.2360  0.0000  0.2245
Tb  0.2568  0.5000  0.7724
Tb  0.7432  0.5000  0.2276
Tb  0.7640  0.0000  0.7755
Te  0.0000  0.0000  0.5000
Te  0.5000  0.5000  0.5000
Au  0.0000  0.5000  0.0000
Se  0.5000  0.0000  0.0000